# 1
For CsCaPu2Cl8, a crystal structure in Alexandria, relaxed with GGA-PBE gives the computed powder diffractogram in this record (Cu Kα).

Crystal structure
Cell: 6.694 6.839 8.929 Å, 89.97 89.95 88.14°
Positions (direct):
Cs (0.000, 0.000, 0.000)
Ca (0.000, 0.000, 0.500)
Pu (0.500, 0.500, 0.257)
Pu (0.500, 0.500, 0.743)
Cl (0.249, 0.828, 0.293)
Cl (0.249, 0.828, 0.706)
Cl (0.273, 0.336, 0.500)
Cl (0.278, 0.398, 0.000)
Cl (0.722, 0.602, 0.000)
Cl (0.727, 0.664, 0.500)
Cl (0.751, 0.172, 0.294)
Cl (0.751, 0.172, 0.707)

Largest 10 diffraction maxima, in order of rising 2θ, 10 to 90 degrees two-theta:
| 2θ (°) | Rel. int. |
| --- | --- |
| 13.0 | 450 |
| 13.2 | 416 |
| 18.3 | 1000 |
| 18.9 | 792 |
| 23.8 | 519 |
| 24.0 | 846 |
| 35.4 | 431 |
| 35.7 | 542 |
| 36.4 | 437 |
| 44.7 | 471 |


# 2
For CsCa2ScCl8, a crystal structure in Alexandria, relaxed with GGA-PBE gives the computed powder diffractogram in this record (Cu Kα).

Crystal structure
Cell: 6.369 6.540 8.888 Å, 89.91 89.84 88.45°
Positions (direct):
Cs (0.000, 0.000, 0.000)
Ca (0.500, 0.500, 0.252)
Ca (0.500, 0.500, 0.748)
Sc (0.000, 0.000, 0.500)
Cl (0.230, 0.830, 0.692)
Cl (0.231, 0.832, 0.308)
Cl (0.255, 0.309, 0.500)
Cl (0.270, 0.410, 0.001)
Cl (0.730, 0.590, 0.999)
Cl (0.745, 0.691, 0.500)
Cl (0.769, 0.168, 0.692)
Cl (0.770, 0.170, 0.308)

Largest 10 diffraction maxima, in order of rising 2θ, 10 to 90 degrees two-theta:
| 2θ (°) | Rel. int. |
| --- | --- |
| 19.2 | 1000 |
| 19.7 | 696 |
| 24.4 | 678 |
| 28.2 | 730 |
| 30.4 | 345 |
| 36.6 | 338 |
| 37.2 | 408 |
| 37.7 | 613 |
| 45.5 | 350 |
| 46.4 | 383 |


# 3
For Cs3CaSn2Cl9, a crystal structure in Alexandria, relaxed with GGA-PBE gives the computed powder diffractogram in this record (Cu Kα).

Crystal structure
Cell: 7.900 7.900 9.674 Å, 90.00 90.00 120.00°
Positions (direct):
Cs (0.000, 0.000, 0.000)
Cs (0.333, 0.667, 0.665)
Cs (0.667, 0.333, 0.335)
Ca (0.000, 0.000, 0.500)
Sn (0.333, 0.667, 0.169)
Sn (0.667, 0.333, 0.831)
Cl (0.000, 0.500, 0.000)
Cl (0.163, 0.327, 0.337)
Cl (0.163, 0.837, 0.337)
Cl (0.327, 0.163, 0.663)
Cl (0.500, 0.000, 0.000)
Cl (0.500, 0.500, 0.000)
Cl (0.673, 0.837, 0.337)
Cl (0.837, 0.163, 0.663)
Cl (0.837, 0.673, 0.663)

Largest 10 diffraction maxima, in order of rising 2θ, 10 to 90 degrees two-theta:
| 2θ (°) | Rel. int. |
| --- | --- |
| 22.5 | 1000 |
| 27.7 | 251 |
| 32.0 | 648 |
| 39.5 | 476 |
| 46.0 | 448 |
| 51.8 | 225 |
| 57.1 | 153 |
| 62.2 | 261 |
| 76.2 | 196 |
| 89.5 | 154 |


# 4
For Cs4SrCa3Cl12, a crystal structure in Alexandria, relaxed with GGA-PBE gives the computed powder diffractogram in this record (Cu Kα).

Crystal structure
Cell: 9.582 9.582 9.582 Å, 109.47 109.47 109.47°
Positions (direct):
Cs (0.000, 0.000, 0.500)
Cs (0.000, 0.500, 0.000)
Cs (0.500, 0.000, 0.000)
Cs (0.500, 0.500, 0.500)
Sr (0.000, 0.000, 0.000)
Ca (0.000, 0.500, 0.500)
Ca (0.500, 0.000, 0.500)
Ca (0.500, 0.500, 0.000)
Cl (0.000, 0.256, 0.256)
Cl (0.000, 0.744, 0.744)
Cl (0.250, 0.500, 0.750)
Cl (0.250, 0.750, 0.500)
Cl (0.256, 0.000, 0.256)
Cl (0.256, 0.256, 0.000)
Cl (0.500, 0.250, 0.750)
Cl (0.500, 0.750, 0.250)
Cl (0.744, 0.000, 0.744)
Cl (0.744, 0.744, 0.000)
Cl (0.750, 0.250, 0.500)
Cl (0.750, 0.500, 0.250)

Largest 10 diffraction maxima, in order of rising 2θ, 10 to 90 degrees two-theta:
| 2θ (°) | Rel. int. |
| --- | --- |
| 22.7 | 1000 |
| 27.9 | 643 |
| 32.4 | 802 |
| 39.9 | 461 |
| 46.4 | 543 |
| 52.3 | 213 |
| 55.1 | 249 |
| 57.7 | 182 |
| 62.9 | 245 |
| 77.1 | 229 |